Structure and simulated powder X-ray diffraction pattern of LaPrGaSn (a cell relaxed with GGA-PBE; Cu Kα (λ = 1.5418 Å)).
Peak positions follow from Bragg's law for the DFT cell and can differ from measured ones.

abc: 4.318 4.681 11.766
angles: 90.00 90.00 90.00
Space group Amm2 (No. 38)
Inequivalent atoms, fractional coordinates:
La (0.000, 0.000, 0.000)
Pr (0.500, 0.000, 0.719)
Ga (0.500, 0.000, 0.441)
Sn (0.000, 0.000, 0.286)

Largest 6 diffraction maxima, low angle first, 2θ = 10–90°:
Position (°2θ)	d [Å]	I/Imax	index
29.14	3.064	100	1 1 1
29.72	3.006	37	0 1 3
30.39	2.942	25	0 0 4
36.42	2.467	61	1 1 3
36.98	2.431	23	1 0 4
38.46	2.341	28	0 2 0